# 1
This entry pairs a crystal structure of TbPmSiSe with its calculated X-ray powder pattern. Radiation: a wavelength of 1.5418 Å. Structure: a crystal structure in Alexandria, relaxed with PBE.
Peak positions follow from Bragg's law for the DFT cell and can differ from measured ones.

Structure:
Unit cell a=7.315 b=7.315 c=7.315 alpha=33.11 beta=33.11 gamma=33.11
Positions (direct):
Tb (0.000, 0.000, 0.000)
Pm (0.492, 0.492, 0.492)
Si (0.744, 0.744, 0.744)
Se (0.249, 0.249, 0.249)

Most intense lines, 2θ from 15° to 90°, sorted by position:
two_theta	I_rel
25.80	11
26.14	32
30.18	100
42.98	37
43.42	37
53.79	20
62.75	12
70.87	16
71.51	17
79.39	12



# 2
This entry pairs a crystal structure of Dy8HgGe3Te4 with its calculated X-ray powder pattern. Radiation: a wavelength of 1.5418 Å. Structure: a crystal structure in Alexandria, relaxed with PBE.
Peak positions follow from Bragg's law for the DFT cell and can differ from measured ones.

Structure:
Unit cell a=8.651 b=8.651 c=8.651 alpha=58.89 beta=58.89 gamma=58.89
Positions (direct):
Dy (0.231, 0.749, 0.749)
Dy (0.239, 0.239, 0.239)
Dy (0.251, 0.251, 0.769)
Dy (0.251, 0.769, 0.251)
Dy (0.749, 0.231, 0.749)
Dy (0.749, 0.749, 0.231)
Dy (0.761, 0.761, 0.761)
Dy (0.769, 0.251, 0.251)
Hg (0.500, 0.500, 0.500)
Ge (0.000, 0.000, 0.500)
Ge (0.000, 0.500, 0.000)
Ge (0.500, 0.000, 0.000)
Te (0.000, 0.000, 0.000)
Te (0.000, 0.500, 0.500)
Te (0.500, 0.000, 0.500)
Te (0.500, 0.500, 0.000)

Most intense lines, 2θ from 15° to 90°, sorted by position:
two_theta	I_rel
29.46	100
41.78	36
42.51	38
51.31	6
52.57	20
61.13	12
68.76	14
69.82	16
77.29	12
77.80	6



# 3
This entry pairs a crystal structure of SbPRh2 with its calculated X-ray powder pattern. Radiation: a wavelength of 1.5418 Å. Structure: a crystal structure in Alexandria, relaxed with PBE.
Peak positions follow from Bragg's law for the DFT cell and can differ from measured ones.

Structure:
Unit cell a=3.289 b=4.533 c=4.646 alpha=90.00 beta=90.00 gamma=90.00
Positions (direct):
Sb (0.000, 0.000, 0.000)
P (0.500, 0.500, 0.643)
Rh (0.000, 0.500, 0.303)
Rh (0.500, 0.000, 0.493)

Most intense lines, 2θ from 15° to 90°, sorted by position:
two_theta	I_rel
19.10	17
19.59	15
27.49	17
33.38	60
39.00	100
39.77	41
43.79	48
52.87	31
71.68	16
73.60	20



# 4
This entry pairs a crystal structure of CeTh3Co with its calculated X-ray powder pattern. Radiation: a wavelength of 1.5418 Å. Structure: a crystal structure in Alexandria, relaxed with PBE.
Peak positions follow from Bragg's law for the DFT cell and can differ from measured ones.

Structure:
Unit cell a=6.069 b=6.859 c=7.013 alpha=90.00 beta=108.64 gamma=90.00
Positions (direct):
Ce (0.048, 0.250, 0.379)
Ce (0.952, 0.750, 0.621)
Th (0.064, 0.250, 0.885)
Th (0.493, 0.000, 0.732)
Th (0.493, 0.500, 0.732)
Th (0.507, 0.000, 0.268)
Th (0.507, 0.500, 0.268)
Th (0.936, 0.750, 0.115)
Co (0.304, 0.750, 0.954)
Co (0.696, 0.250, 0.046)

Most intense lines, 2θ from 15° to 90°, sorted by position:
two_theta	I_rel
29.44	18
29.88	19
30.35	100
31.10	36
34.10	29
35.25	21
37.34	34
37.69	41
54.05	17
61.07	17